Diffraction record for Pr2Tm2In5. The powder diffractogram is calculated, not measured: it uses a cell relaxed with PBE and a wavelength of 1.5418 Å.

Atomic structure:
Cell lengths 16.7106, 7.9824, 8.0157 Å; angles 90.00, 90.00, 90.00 degrees
Space group Cmce (No. 64)
Symmetry-distinct sites (fractional):
Pr 0.1994 0.0000 0.0000 [8 per cell]
Tm 0.0000 0.1569 0.3418 [8 per cell]
In 0.0000 0.0000 0.0000 [4 per cell]
In 0.1262 0.1398 0.6382 [16 per cell]

Most intense lines, 2θ from 5° to 70°, sorted by position:
2theta  I_rel
10.59  44
24.68  33
29.65  94
31.08  58
32.99  100
35.85  69
35.97  69
36.78  49